(1)
Calculated X-ray powder pattern of Ac5Hg2OsN for Cu Kα (weighted mean of Kα1 and Kα2), from DFT lattice parameters and positions (PBE).
No peak broadening, texture or thermal motion is included.

Largest 10 diffraction maxima, in order of falling intensity, 2θ = 10–80°:
2θ/deg, Rel. int.
28.04, 100
28.19, 39
27.73, 28
42.09, 24
33.40, 23
31.01, 21
46.13, 20
25.85, 17
50.00, 16
51.43, 15

Crystal structure
Cell: 9.959 9.959 14.660 Å, 90.00 90.00 155.11°
Fractional coordinates of all 18 atoms:
Ac  0.003  0.997  0.500
Ac  0.149  0.851  0.715
Ac  0.185  0.815  0.101
Ac  0.218  0.782  0.376
Ac  0.450  0.550  0.728
Ac  0.550  0.450  0.228
Ac  0.782  0.218  0.876
Ac  0.815  0.185  0.601
Ac  0.851  0.149  0.215
Ac  0.997  0.003  0.000
Hg  0.365  0.635  0.033
Hg  0.395  0.605  0.389
Hg  0.605  0.395  0.889
Hg  0.635  0.365  0.533
Os  0.293  0.707  0.740
Os  0.707  0.293  0.240
N  0.056  0.944  0.139
N  0.944  0.056  0.639

***

(2)
Calculated X-ray powder pattern of Ac2ZnHgN for Cu Kα (weighted mean of Kα1 and Kα2), from DFT lattice parameters and positions (PBE).
No peak broadening, texture or thermal motion is included.

Largest 10 diffraction maxima, in order of falling intensity, 2θ = 10–80°:
2θ/deg, Rel. int.
30.18, 100
33.22, 72
24.97, 71
30.33, 60
43.93, 53
27.76, 47
27.26, 34
35.41, 33
31.53, 29
40.70, 25

Crystal structure
Cell: 7.431 4.123 8.870 Å, 90.00 106.35 90.00°
Fractional coordinates of all 10 atoms:
Ac  0.187  0.250  0.378
Ac  0.195  0.250  0.951
Ac  0.805  0.750  0.049
Ac  0.813  0.750  0.622
Zn  0.440  0.750  0.228
Zn  0.560  0.250  0.772
Hg  0.322  0.750  0.692
Hg  0.678  0.250  0.308
N  0.154  0.750  0.175
N  0.846  0.250  0.825